Calculated powder diffractogram of LiDy2Mn4O8 for a wavelength of 1.5418 Å, from a DFT-relaxed cell (PBE+U, Alexandria).
Lines closer than 0.1° are merged.

Cell and atoms:
a = 6.211 Å, b = 6.253 Å, c = 6.742 Å
α = 114.83°, β = 117.18°, γ = 90.76°
Space group P1 (No. 1)
Unique sites:
Li  0.000  0.000  0.000 [1 per cell]
Dy  0.241  0.744  0.478 [1 per cell]
Dy  0.507  0.565  0.001 [1 per cell]
Mn  0.414  0.190  0.304 [1 per cell]
Mn  0.842  0.619  0.675 [1 per cell]
Mn  0.859  0.146  0.711 [1 per cell]
Mn  0.904  0.193  0.311 [1 per cell]
O  0.087  0.876  0.738 [1 per cell]
O  0.093  0.423  0.719 [1 per cell]
O  0.102  0.352  0.193 [1 per cell]
O  0.136  0.937  0.270 [1 per cell]
O  0.636  0.415  0.717 [1 per cell]
O  0.641  0.421  0.265 [1 per cell]
O  0.644  0.945  0.283 [1 per cell]
O  0.654  0.868  0.735 [1 per cell]

Peak list (10 most intense, 10° ≤ 2θ ≤ 90°, in order of rising 2θ)
two_theta  d_spacing  Rel. int.  h k l
25.8  3.453  54  -1 1 1
26.1  3.419  52  1 1 0
26.8  3.332  50  1 -1 1
26.9  3.313  49  1 1 -2
28.6  3.124  63  0 2 -1
28.8  3.105  43  2 0 -1
29.2  3.055  90  1 0 1
33.0  2.716  47  -2 1 1
33.4  2.685  100  1 -2 1
33.7  2.659  63  1 2 -2